Entry 1:
InRh: simulated X-ray diffraction stick pattern (Cu Ka), based on the PBE geometry in the Materials Project.
Intensities are scaled so that the largest is 100.

Cell and atoms:
```
data_InRh
_cell_length_a 3.2436
_cell_length_b 3.2436
_cell_length_c 3.2436
_cell_angle_alpha 90.00
_cell_angle_beta 90.00
_cell_angle_gamma 90.00
_space_group_name_H-M_alt 'P m -3 m'
_space_group_IT_number 221
_space_group_name_Hall '-P 4 2 3'
loop_
_atom_site_label
_atom_site_type_symbol
_atom_site_fract_x
_atom_site_fract_y
_atom_site_fract_z
_atom_site_occupancy
In1 In 0.0000 0.0000 0.0000 1
Rh1 Rh 0.5000 0.5000 0.5000 1
```

Top 4 peaks for 15° ≤ 2θ ≤ 90°, by intensity:
| (hkl) | two_theta | I_rel |
| --- | --- | --- |
| 1 1 0 | 39.28 | 100 |
| 2 1 1 | 71.21 | 33 |
| 2 0 0 | 56.76 | 17 |
| 2 2 0 | 84.48 | 11 |

Entry 2:
Sc5In4Rh2: simulated X-ray diffraction stick pattern (Cu Ka), based on the PBE geometry in the Materials Project.
Intensities are scaled so that the largest is 100.

Cell and atoms:
```
data_Sc5In4Rh2
_cell_length_a 7.7372
_cell_length_b 17.6920
_cell_length_c 3.3527
_cell_angle_alpha 90.00
_cell_angle_beta 90.00
_cell_angle_gamma 90.00
_space_group_name_H-M_alt 'P b a m'
_space_group_IT_number 55
_space_group_name_Hall '-P 2 2ab'
loop_
_atom_site_label
_atom_site_type_symbol
_atom_site_fract_x
_atom_site_fract_y
_atom_site_fract_z
_atom_site_occupancy
Sc1 Sc 0.0000 0.0000 0.0000 1
Sc2 Sc 0.1240 0.4145 0.0000 1
Sc3 Sc 0.2450 0.7209 0.0000 1
In1 In 0.0693 0.8507 0.5000 1
In2 In 0.2038 0.5668 0.5000 1
Rh1 Rh 0.0374 0.3057 0.5000 1
```

Top 12 peaks for 15° ≤ 2θ ≤ 90°, by intensity:
| (hkl) | two_theta | I_rel |
| --- | --- | --- |
| 1 4 1 | 35.55 | 100 |
| 2 2 1 | 36.90 | 93 |
| 3 2 0 | 36.28 | 62 |
| 0 0 1 | 26.59 | 57 |
| 1 7 0 | 37.43 | 56 |
| 2 6 0 | 38.38 | 44 |
| 2 3 1 | 38.68 | 42 |
| 1 4 0 | 23.16 | 35 |
| 1 5 1 | 38.79 | 30 |
| 3 2 2 | 67.48 | 29 |
| 0 0 2 | 54.76 | 29 |
| 3 2 1 | 45.54 | 28 |

Entry 3:
SmInRh2: simulated X-ray diffraction stick pattern (Cu Ka), based on the PBE geometry in the Materials Project.
Intensities are scaled so that the largest is 100.

Cell and atoms:
```
data_SmInRh2
_cell_length_a 6.7381
_cell_length_b 6.7381
_cell_length_c 6.7381
_cell_angle_alpha 90.00
_cell_angle_beta 90.00
_cell_angle_gamma 90.00
_space_group_name_H-M_alt 'F m -3 m'
_space_group_IT_number 225
_space_group_name_Hall '-F 4 2 3'
loop_
_atom_site_label
_atom_site_type_symbol
_atom_site_fract_x
_atom_site_fract_y
_atom_site_fract_z
_atom_site_occupancy
Sm1 Sm 0.0000 0.0000 0.0000 1
In1 In 0.0000 0.0000 0.5000 1
Rh1 Rh 0.2500 0.2500 0.2500 1
```

Top 8 peaks for 15° ≤ 2θ ≤ 90°, by intensity:
| (hkl) | two_theta | I_rel |
| --- | --- | --- |
| 2 2 0 | 37.76 | 100 |
| 4 2 2 | 68.18 | 34 |
| 4 0 0 | 54.47 | 17 |
| 4 4 0 | 80.66 | 11 |
| 2 0 0 | 26.46 | 2 |
| 1 1 1 | 22.86 | 1 |
| 4 2 0 | 61.55 | 1 |
| 3 1 1 | 44.60 | 1 |